This entry pairs a crystal structure of Li5V5Cl16 with its theoretical powder diffraction line list. Radiation: λ = 1.5418 Å (Cu Kα). Structure: a crystal structure in the Materials Project, relaxed with PBE.
Peak positions follow from Bragg's law for the DFT cell and can differ from measured ones.

The 6 most intense peaks (10° ≤ 2θ ≤ 90°), by intensity:
34.46 deg, intensity 100; 14.74 deg, intensity 70; 49.54 deg, intensity 63; 29.73 deg, intensity 28; 28.44 deg, intensity 20; 45.26 deg, intensity 20

Crystal structure
```
Li5V5Cl16
1.0
7.363 0.000 0.000
0.000 7.354 10.415
0.000 -7.354 10.415
Li V Cl
10 10 32
Cartesian
0.000 0.000 0.000
0.000 0.000 10.415
1.740 0.001 4.015
1.740 -0.001 14.429
1.934 3.677 9.214
3.615 -3.677 15.492
3.748 3.677 15.492
5.429 -3.677 9.214
5.623 -0.001 4.015
5.623 0.001 14.429
0.007 1.783 6.510
0.007 -1.783 16.924
1.881 -3.677 9.178
3.672 1.862 11.749
3.672 5.492 11.749
3.691 -5.492 11.749
3.691 -1.862 11.749
5.482 3.677 9.178
7.356 -1.783 6.510
7.356 1.783 16.924
0.008 -1.768 4.131
0.008 1.768 14.545
0.052 -5.380 9.038
0.052 -1.974 9.038
1.658 0.002 6.584
1.658 -0.002 16.999
1.664 3.677 6.598
1.718 -3.677 6.655
1.972 -3.677 11.660
2.006 -0.006 1.344
2.006 0.006 11.759
2.042 3.677 11.744
3.598 -5.402 9.294
3.598 -1.952 9.294
3.670 1.731 3.785
3.670 -1.731 14.199
3.692 -1.731 3.785
3.692 1.731 14.199
3.765 1.952 9.294
3.765 5.402 9.294
5.321 -3.677 11.744
5.357 0.006 1.344
5.357 -0.006 11.759
5.391 3.677 11.660
5.645 3.677 6.655
5.699 -3.677 6.598
5.705 -0.002 6.584
5.705 0.002 16.999
7.311 1.974 9.038
7.311 5.380 9.038
7.355 1.768 4.131
7.355 -1.768 14.545
```